Calculated powder X-ray diffraction pattern of Ni5P2 for Cu Kα, 1.54184 Å, from a DFT-relaxed cell (GGA-PBE, the Materials Project).
Intensities are scaled so that the largest is 100.

Top 12 peaks for 10° ≤ 2θ ≤ 90°, in order of rising 2θ:
2θ (°), d (Å), Rel. int.
34.88, 2.572, 12.2
35.15, 2.553, 13.0
42.84, 2.111, 35.1
43.52, 2.080, 39.3
44.81, 2.023, 11.3
46.31, 1.960, 100.0
47.95, 1.897, 10.4
48.14, 1.890, 78.3
52.10, 1.755, 15.2
69.02, 1.361, 10.6
80.18, 1.197, 16.5
84.50, 1.147, 10.7

Structure:
a b c (Å): 6.547 6.547 12.240
angles (deg): 90.00 90.00 120.00
Atoms (fractional coordinates):
Ni  0.000  0.000  0.000
Ni  0.000  0.000  0.500
Ni  0.000  0.235  0.329
Ni  0.000  0.306  0.122
Ni  0.000  0.383  0.730
Ni  0.000  0.385  0.514
Ni  0.000  0.615  0.014
Ni  0.000  0.617  0.230
Ni  0.000  0.694  0.622
Ni  0.000  0.765  0.829
Ni  0.235  0.000  0.329
Ni  0.235  0.235  0.829
Ni  0.306  0.000  0.122
Ni  0.306  0.306  0.622
Ni  0.333  0.667  0.362
Ni  0.333  0.667  0.862
Ni  0.383  0.000  0.730
Ni  0.383  0.383  0.230
Ni  0.385  0.000  0.514
Ni  0.385  0.385  0.014
Ni  0.615  0.000  0.014
Ni  0.615  0.615  0.514
Ni  0.617  0.000  0.230
Ni  0.617  0.617  0.730
Ni  0.667  0.333  0.362
Ni  0.667  0.333  0.862
Ni  0.694  0.000  0.622
Ni  0.694  0.694  0.122
Ni  0.765  0.000  0.829
Ni  0.765  0.765  0.329
P  0.000  0.000  0.194
P  0.000  0.000  0.694
P  0.000  0.325  0.928
P  0.000  0.675  0.428
P  0.325  0.000  0.928
P  0.325  0.325  0.428
P  0.333  0.667  0.158
P  0.333  0.667  0.658
P  0.667  0.333  0.158
P  0.667  0.333  0.658
P  0.675  0.000  0.428
P  0.675  0.675  0.928